No. 1
Tc2Ru3: computed X-ray diffraction stick pattern (Cu Kα, 1.54184 Å), based on a crystal structure in Alexandria, relaxed with PBE.
Peak positions follow from Bragg's law for the DFT cell and can differ from measured ones.

Structural model:
abc: 9.308 13.007 4.751
angles: 90.00 90.00 90.00
Space group Fdd2 (No. 43)
Symmetry-distinct sites (fractional):
Tc1 0.033 0.203 0.000 [16 per cell]
Ru1 0.000 0.000 0.040 [8 per cell]
Ru2 0.048 0.099 0.523 [16 per cell]

Largest 12 diffraction maxima, by angle, 15° ≤ 2θ ≤ 90°:
- (4 0 0), 38.69°, d = 2.327 Å, rel. 24
- (3 3 1), 40.48°, d = 2.229 Å, rel. 30
- (1 5 1), 40.71°, d = 2.216 Å, rel. 100
- (4 2 0), 41.20°, d = 2.191 Å, rel. 28
- (2 0 2), 42.74°, d = 2.116 Å, rel. 72
- (2 2 2), 45.06°, d = 2.012 Å, rel. 14
- (3 5 1), 49.59°, d = 1.838 Å, rel. 36
- (5 3 1), 57.24°, d = 1.610 Å, rel. 13
- (1 5 3), 70.33°, d = 1.339 Å, rel. 18
- (6 2 2), 74.48°, d = 1.274 Å, rel. 15
- (2 10 0), 75.96°, d = 1.253 Å, rel. 13
- (4 8 2), 83.11°, d = 1.162 Å, rel. 15

No. 2
InBi: computed X-ray diffraction stick pattern (Cu Kα, 1.54184 Å), based on a crystal structure in Alexandria, relaxed with PBE.
Peak positions follow from Bragg's law for the DFT cell and can differ from measured ones.

Structural model:
abc: 3.410 5.622 6.388
angles: 90.00 90.00 90.00
Space group Pmmn (No. 59, origin choice 2)
Symmetry-distinct sites (fractional):
In1 0.250 0.250 0.208 [2 per cell]
Bi1 0.250 0.250 0.716 [2 per cell]

Largest 12 diffraction maxima, by angle, 15° ≤ 2θ ≤ 90°:
- (0 1 1), 21.05°, d = 4.220 Å, rel. 18
- (0 0 2), 27.93°, d = 3.194 Å, rel. 51
- (1 1 0), 30.66°, d = 2.916 Å, rel. 100
- (0 2 0), 31.83°, d = 2.811 Å, rel. 45
- (0 1 2), 32.23°, d = 2.777 Å, rel. 17
- (1 1 2), 41.96°, d = 2.153 Å, rel. 69
- (0 2 2), 42.86°, d = 2.110 Å, rel. 32
- (1 3 0), 55.99°, d = 1.642 Å, rel. 18
- (1 3 2), 63.72°, d = 1.461 Å, rel. 20
- (2 2 0), 63.85°, d = 1.458 Å, rel. 12
- (2 2 2), 71.08°, d = 1.326 Å, rel. 15
- (0 4 2), 73.65°, d = 1.286 Å, rel. 17

No. 3
Na2PmWN4: computed X-ray diffraction stick pattern (Cu Kα, 1.54184 Å), based on a crystal structure in Alexandria, relaxed with PBE.
Peak positions follow from Bragg's law for the DFT cell and can differ from measured ones.

Structural model:
abc: 6.172 6.172 6.450
angles: 90.00 90.00 90.00
Space group I-42m (No. 121)
Symmetry-distinct sites (fractional):
Na1 0.000 0.500 0.250 [4 per cell]
Pm1 0.000 0.000 0.000 [2 per cell]
W1 0.000 0.000 0.500 [2 per cell]
N1 0.168 0.168 0.683 [8 per cell]

Largest 12 diffraction maxima, by angle, 15° ≤ 2θ ≤ 90°:
- (1 1 0), 20.35°, d = 4.364 Å, rel. 100
- (0 0 2), 27.66°, d = 3.225 Å, rel. 16
- (2 0 0), 28.93°, d = 3.086 Å, rel. 59
- (1 1 2), 34.58°, d = 2.594 Å, rel. 84
- (2 0 2), 40.46°, d = 2.230 Å, rel. 35
- (2 2 0), 41.38°, d = 2.182 Å, rel. 29
- (3 1 0), 46.53°, d = 1.952 Å, rel. 18
- (2 2 2), 50.50°, d = 1.807 Å, rel. 16
- (3 1 2), 54.99°, d = 1.670 Å, rel. 50
- (2 0 4), 65.29°, d = 1.429 Å, rel. 14
- (4 2 0), 67.92°, d = 1.380 Å, rel. 13
- (5 1 2), 85.73°, d = 1.133 Å, rel. 13